1.
This entry pairs a crystal structure of LaDyTm with its simulated powder X-ray diffraction pattern. Radiation: Cu Kα. Structure: DFT lattice parameters and positions (PBE).

The 8 most intense peaks (2θ = 5–70°), by angle:
| d [Å] | I (rel.) |
| --- | --- |
| 2.937 | 100.0 |
| 2.552 | 34.2 |
| 2.527 | 16.4 |
| 1.804 | 12.2 |
| 1.796 | 23.8 |
| 1.537 | 28.9 |
| 1.527 | 13.8 |
| 1.468 | 12.3 |

Cell and atoms:
```
data_LaDyTm
_chemical_formula_sum 'La2 Dy2 Tm2'
_cell_length_a 3.6084
_cell_length_b 3.6084
_cell_length_c 15.1634
_cell_angle_alpha 90.00
_cell_angle_beta 90.00
_cell_angle_gamma 90.00
_space_group_name_H-M_alt 'I 4 m m'
_space_group_IT_number 107
_space_group_name_Hall 'I 4 -2'
loop_
_atom_site_label
_atom_site_type_symbol
_atom_site_fract_x
_atom_site_fract_y
_atom_site_fract_z
La1 La 0.0000 0.0000 0.0000
Dy1 Dy 0.0000 0.0000 0.6710
Tm1 Tm 0.0000 0.0000 0.3306
```


2.
This entry pairs a crystal structure of La2Dy12Tm with its simulated powder X-ray diffraction pattern. Radiation: Cu Kα. Structure: DFT lattice parameters and positions (PBE).

The 8 most intense peaks (2θ = 5–70°), by angle:
| d [Å] | I (rel.) |
| --- | --- |
| 3.082 | 25.1 |
| 3.005 | 46.6 |
| 2.925 | 75.9 |
| 2.835 | 100.0 |
| 2.721 | 66.2 |
| 2.708 | 47.3 |
| 2.433 | 60.1 |
| 1.505 | 23.8 |

Cell and atoms:
```
data_La2Dy12Tm
_chemical_formula_sum 'La8 Dy48 Tm4'
_cell_length_a 7.1024
_cell_length_b 11.3453
_cell_length_c 24.8032
_cell_angle_alpha 90.00
_cell_angle_beta 90.00
_cell_angle_gamma 90.00
_space_group_name_H-M_alt 'C m m e'
_space_group_IT_number 67
_space_group_name_Hall '-C 2a 2'
loop_
_atom_site_label
_atom_site_type_symbol
_atom_site_fract_x
_atom_site_fract_y
_atom_site_fract_z
La1 La 0.0000 0.2500 0.2326
La2 La 0.0000 0.2500 0.7672
Dy1 Dy 0.0000 0.0000 0.4239
Dy2 Dy 0.0000 0.0005 0.0622
Dy3 Dy 0.2500 0.0000 0.1729
Dy4 Dy 0.2500 0.0000 0.3031
Dy5 Dy 0.2505 0.2500 0.0845
Dy6 Dy 0.2500 0.2500 0.3765
Tm1 Tm 0.0000 0.2500 0.5000
```


3.
This entry pairs a crystal structure of La3Dy8Tm3 with its simulated powder X-ray diffraction pattern. Radiation: Cu Kα. Structure: DFT lattice parameters and positions (PBE).

The 8 most intense peaks (2θ = 5–70°), by angle:
| d [Å] | I (rel.) |
| --- | --- |
| 3.023 | 30.3 |
| 2.928 | 29.6 |
| 2.842 | 53.4 |
| 2.820 | 100.0 |
| 2.671 | 59.3 |
| 2.039 | 21.3 |
| 1.636 | 19.9 |
| 1.606 | 22.1 |

Cell and atoms:
```
data_La3Dy8Tm3
_chemical_formula_sum 'La6 Dy16 Tm6'
_cell_length_a 5.6831
_cell_length_b 10.7865
_cell_length_c 15.1318
_cell_angle_alpha 90.00
_cell_angle_beta 90.00
_cell_angle_gamma 90.00
_space_group_name_H-M_alt 'I m m m'
_space_group_IT_number 71
_space_group_name_Hall '-I 2 2'
loop_
_atom_site_label
_atom_site_type_symbol
_atom_site_fract_x
_atom_site_fract_y
_atom_site_fract_z
La1 La 0.0000 0.0000 0.0000
La2 La 0.0000 0.5000 0.3160
Dy1 Dy 0.0000 0.1617 0.2813
Dy2 Dy 0.0000 0.3412 0.1015
Tm1 Tm 0.0000 0.0000 0.5000
Tm2 Tm 0.0000 0.2956 0.5000
```


4.
This entry pairs a crystal structure of LaDyTm5 with its simulated powder X-ray diffraction pattern. Radiation: Cu Kα. Structure: DFT lattice parameters and positions (PBE).

The 8 most intense peaks (2θ = 5–70°), by angle:
| d [Å] | I (rel.) |
| --- | --- |
| 3.601 | 15.4 |
| 3.225 | 13.2 |
| 2.855 | 27.7 |
| 2.841 | 25.6 |
| 2.685 | 15.5 |
| 2.650 | 100.0 |
| 2.014 | 14.5 |
| 1.606 | 15.0 |

Cell and atoms:
```
data_LaDyTm5
_chemical_formula_sum 'La4 Dy4 Tm20'
_cell_length_a 7.0385
_cell_length_b 11.4181
_cell_length_c 11.3627
_cell_angle_alpha 90.00
_cell_angle_beta 90.00
_cell_angle_gamma 90.00
_space_group_name_H-M_alt 'I m m a'
_space_group_IT_number 74
_space_group_name_Hall '-I 2b 2'
loop_
_atom_site_label
_atom_site_type_symbol
_atom_site_fract_x
_atom_site_fract_y
_atom_site_fract_z
La1 La 0.2500 0.2500 0.2500
Dy1 Dy 0.0000 0.2500 0.5419
Tm1 Tm 0.0000 0.0361 0.7503
Tm2 Tm 0.0000 0.2500 0.9592
Tm3 Tm 0.2500 0.0000 0.0000
```


5.
This entry pairs a crystal structure of La4DyTm2 with its simulated powder X-ray diffraction pattern. Radiation: Cu Kα. Structure: DFT lattice parameters and positions (PBE).

The 8 most intense peaks (2θ = 5–70°), by angle:
| d [Å] | I (rel.) |
| --- | --- |
| 3.155 | 15.8 |
| 2.994 | 100.0 |
| 2.928 | 27.2 |
| 2.867 | 64.9 |
| 2.808 | 29.6 |
| 2.792 | 21.8 |
| 2.450 | 28.3 |
| 1.826 | 20.5 |

Cell and atoms:
```
data_La4DyTm2
_chemical_formula_sum 'La16 Dy4 Tm8'
_cell_length_a 6.5185
_cell_length_b 24.5737
_cell_length_c 6.8537
_cell_angle_alpha 90.00
_cell_angle_beta 118.37
_cell_angle_gamma 90.00
_space_group_name_H-M_alt 'C 1 c 1'
_space_group_IT_number 9
loop_
_space_group_symop_operation_xyz
'x,y,z'
'x,-y,z+1/2'
'x+1/2,y+1/2,z'
'x+1/2,-y+1/2,z+1/2'
loop_
_atom_site_label
_atom_site_type_symbol
_atom_site_fract_x
_atom_site_fract_y
_atom_site_fract_z
La1 La 0.0000 0.0192 0.0000
La2 La 0.0887 0.3033 0.2395
La3 La 0.1426 0.2690 0.7862
La4 La 0.4920 0.0531 0.5489
Dy1 Dy 0.0399 0.1250 0.6440
Tm1 Tm 0.0701 0.4073 0.6000
Tm2 Tm 0.1147 0.1574 0.1886
```


6.
This entry pairs a crystal structure of LaDy5Tm2 with its simulated powder X-ray diffraction pattern. Radiation: Cu Kα. Structure: DFT lattice parameters and positions (PBE).

The 8 most intense peaks (2θ = 5–70°), by angle:
| d [Å] | I (rel.) |
| --- | --- |
| 2.903 | 100.0 |
| 2.517 | 33.8 |
| 2.509 | 16.8 |
| 1.780 | 12.1 |
| 1.777 | 24.0 |
| 1.517 | 28.6 |
| 1.514 | 14.2 |
| 1.452 | 12.3 |

Cell and atoms:
```
data_LaDy5Tm2
_chemical_formula_sum 'La4 Dy20 Tm8'
_cell_length_a 7.1207
_cell_length_b 20.0698
_cell_length_c 7.1164
_cell_angle_alpha 90.00
_cell_angle_beta 90.00
_cell_angle_gamma 90.00
_space_group_name_H-M_alt 'P b a m'
_space_group_IT_number 55
loop_
_space_group_symop_operation_xyz
'x,y,z'
'-x,-y,-z'
'-x,-y,z'
'x,y,-z'
'x+1/2,-y+1/2,-z'
'-x+1/2,y+1/2,z'
'-x+1/2,y+1/2,-z'
'x+1/2,-y+1/2,z'
loop_
_atom_site_label
_atom_site_type_symbol
_atom_site_fract_x
_atom_site_fract_y
_atom_site_fract_z
La1 La 0.2499 0.1245 0.0000
Dy1 Dy 0.0000 0.0000 0.2534
Dy2 Dy 0.0002 0.2500 0.2533
Dy3 Dy 0.2499 0.3754 0.0000
Dy4 Dy 0.2501 0.3754 0.5000
Tm1 Tm 0.0000 0.5000 0.2538
Tm2 Tm 0.2493 0.6245 0.5000
```


Copy entry 3 word for word.
This entry pairs a crystal structure of La3Dy8Tm3 with its simulated powder X-ray diffraction pattern. Radiation: Cu Kα. Structure: DFT lattice parameters and positions (PBE).

The 8 most intense peaks (2θ = 5–70°), by angle:
| d [Å] | I (rel.) |
| --- | --- |
| 3.023 | 30.3 |
| 2.928 | 29.6 |
| 2.842 | 53.4 |
| 2.820 | 100.0 |
| 2.671 | 59.3 |
| 2.039 | 21.3 |
| 1.636 | 19.9 |
| 1.606 | 22.1 |

Cell and atoms:
```
data_La3Dy8Tm3
_chemical_formula_sum 'La6 Dy16 Tm6'
_cell_length_a 5.6831
_cell_length_b 10.7865
_cell_length_c 15.1318
_cell_angle_alpha 90.00
_cell_angle_beta 90.00
_cell_angle_gamma 90.00
_space_group_name_H-M_alt 'I m m m'
_space_group_IT_number 71
_space_group_name_Hall '-I 2 2'
loop_
_atom_site_label
_atom_site_type_symbol
_atom_site_fract_x
_atom_site_fract_y
_atom_site_fract_z
La1 La 0.0000 0.0000 0.0000
La2 La 0.0000 0.5000 0.3160
Dy1 Dy 0.0000 0.1617 0.2813
Dy2 Dy 0.0000 0.3412 0.1015
Tm1 Tm 0.0000 0.0000 0.5000
Tm2 Tm 0.0000 0.2956 0.5000
```